# 1
This entry pairs a crystal structure of Na3InSiSnP2O12 with its theoretical powder XRD pattern. Radiation: Cu Kα (λ = 1.5418 Å). Structure: a structure optimized by DFT (PBE).
Intensities are scaled so that the largest is 1000.

Cell and atoms:
```
data_Na3InSiSnP2O12
_chemical_formula_sum 'Na12 In4 Si4 Sn4 P8 O48'
_cell_length_a 15.7111
_cell_length_b 9.1205
_cell_length_c 9.1327
_cell_angle_alpha 90.00
_cell_angle_beta 125.07
_cell_angle_gamma 90.00
_symmetry_space_group_name_H-M 'C 1 c 1'
_symmetry_Int_Tables_number 9
_symmetry_space_group_name_Hall 'C -2yc'
loop_
_atom_site_label
_atom_site_type_symbol
_atom_site_fract_x
_atom_site_fract_y
_atom_site_fract_z
Na1 Na 0.0000 0.0690 0.0000
Na2 Na 0.0687 0.2788 0.7092
Na3 Na 0.3243 0.1083 0.9764
In1 In 0.4178 0.2470 0.7714
Si1 Si 0.4640 0.1069 0.4569
Sn1 Sn 0.2137 0.2559 0.1550
P1 P 0.1673 0.0958 0.4676
P2 P 0.3122 0.4540 0.9654
O1 O 0.0617 0.3094 0.9684
O2 O 0.0704 0.1453 0.4576
O3 O 0.1651 0.1346 0.2977
O4 O 0.1668 0.0771 0.9663
O5 O 0.2324 0.3495 0.9610
O6 O 0.2489 0.4472 0.2970
O7 O 0.2638 0.1537 0.6416
O8 O 0.3590 0.1742 0.2676
O9 O 0.3764 0.4587 0.6393
O10 O 0.3909 0.3572 0.9571
O11 O 0.4599 0.1579 0.6198
O12 O 0.4686 0.0714 0.9577
```

Largest 12 diffraction maxima, sorted by position, 2θ from 10° to 90°:
(2 0 0), 13.8°, I = 186
(1 1 1), 19.4°, I = 1000
(3 1 -1), 19.5°, I = 481
(3 1 -2), 22.9°, I = 189
(2 2 -2), 27.6°, I = 272
(3 1 1), 31.0°, I = 832
(3 3 -1), 34.1°, I = 528
(6 0 -2), 34.2°, I = 184
(4 2 -4), 44.4°, I = 161
(0 4 2), 46.6°, I = 209
(6 2 0), 46.8°, I = 215
(1 3 3), 51.0°, I = 210

=====

# 2
This entry pairs a crystal structure of CaHf8N8O4 with its theoretical powder XRD pattern. Radiation: Cu Kα (λ = 1.5418 Å). Structure: a structure optimized by DFT (PBE).
Intensities are scaled so that the largest is 1000.

Cell and atoms:
```
data_CaHf8N8O4
_chemical_formula_sum 'Ca1 Hf8 N8 O4'
_cell_length_a 5.7479
_cell_length_b 5.7635
_cell_length_c 11.1665
_cell_angle_alpha 90.59
_cell_angle_beta 103.94
_cell_angle_gamma 119.17
_symmetry_space_group_name_H-M 'P 1'
_symmetry_Int_Tables_number 1
_symmetry_space_group_name_Hall 'P 1'
loop_
_atom_site_label
_atom_site_type_symbol
_atom_site_fract_x
_atom_site_fract_y
_atom_site_fract_z
Ca1 Ca 0.0000 0.0000 0.0000
Hf1 Hf 0.0088 0.8444 0.5795
Hf2 Hf 0.1766 0.4079 0.3047
Hf3 Hf 0.2507 0.6308 0.8702
Hf4 Hf 0.3611 0.5141 0.5745
Hf5 Hf 0.5363 0.1197 0.3048
Hf6 Hf 0.6769 0.3437 0.0103
Hf7 Hf 0.7202 0.2011 0.5823
Hf8 Hf 0.8513 0.7616 0.3089
N1 N 0.0909 0.5500 0.6715
N2 N 0.1334 0.0586 0.2264
N3 N 0.3448 0.9892 0.9442
N4 N 0.6135 0.4559 0.4416
N5 N 0.7289 0.8714 0.6506
N6 N 0.7924 0.3995 0.2097
N7 N 0.9290 0.1514 0.4407
N8 N 0.9803 0.3669 0.9490
O1 O 0.2325 0.7698 0.4398
O2 O 0.3980 0.1985 0.6426
O3 O 0.4727 0.7378 0.2428
O4 O 0.5965 0.6173 0.9366
```

Largest 12 diffraction maxima, sorted by position, 2θ from 10° to 90°:
(0 0 3), 24.9°, I = 1000
(1 1 -1), 30.7°, I = 514
(1 -2 0), 31.1°, I = 780
(1 1 0), 31.7°, I = 322
(1 1 -2), 31.9°, I = 306
(2 -1 0), 32.1°, I = 759
(-1 2 1), 32.2°, I = 340
(-2 1 2), 32.4°, I = 347
(0 0 4), 33.4°, I = 411
(-2 1 4), 40.7°, I = 252
(1 1 -5), 46.4°, I = 356
(0 3 -1), 54.7°, I = 270

=====

# 3
This entry pairs a crystal structure of BaMg4Si3 with its theoretical powder XRD pattern. Radiation: Cu Kα (λ = 1.5418 Å). Structure: a structure optimized by DFT (PBE).
Intensities are scaled so that the largest is 1000.

Cell and atoms:
```
data_BaMg4Si3
_chemical_formula_sum 'Ba1 Mg4 Si3'
_cell_length_a 4.6257
_cell_length_b 4.6257
_cell_length_c 8.6179
_cell_angle_alpha 90.00
_cell_angle_beta 90.00
_cell_angle_gamma 90.00
_symmetry_space_group_name_H-M 'P 4/m m m'
_symmetry_Int_Tables_number 123
_symmetry_space_group_name_Hall '-P 4 2'
loop_
_atom_site_label
_atom_site_type_symbol
_atom_site_fract_x
_atom_site_fract_y
_atom_site_fract_z
Ba1 Ba 0.0000 0.0000 0.0000
Mg1 Mg 0.0000 0.5000 0.3176
Si1 Si 0.0000 0.0000 0.5000
Si2 Si 0.5000 0.5000 0.1428
```

Largest 12 diffraction maxima, sorted by position, 2θ from 10° to 90°:
(0 0 1), 10.3°, I = 756
(1 0 0), 19.2°, I = 429
(1 0 1), 21.8°, I = 250
(1 0 2), 28.3°, I = 994
(1 1 1), 29.2°, I = 1000
(1 1 2), 34.4°, I = 911
(1 0 3), 36.8°, I = 386
(2 0 0), 38.9°, I = 709
(1 0 4), 46.5°, I = 367
(2 1 2), 48.8°, I = 424
(2 1 4), 62.2°, I = 307
(3 1 2), 67.6°, I = 246